The following is a theoretical PXRD pattern of La2PaO6. It was derived from a DFT-relaxed cell (GGA-PBE, Alexandria), using CuKα.

Atomic structure:
```
data_La2PaO6
_chemical_formula_sum 'La4 Pa2 O12'
_cell_length_a 3.987
_cell_length_b 5.669
_cell_length_c 11.768
_cell_angle_alpha 90.00
_cell_angle_beta 90.00
_cell_angle_gamma 90.00
_symmetry_space_group_name_H-M 'I m m m'
_symmetry_Int_Tables_number 71
_symmetry_space_group_name_Hall '-I 2 2'
loop_
_atom_site_label
_atom_site_type_symbol
_atom_site_fract_x
_atom_site_fract_y
_atom_site_fract_z
La1 La 0.000 0.000 0.167
Pa1 Pa 0.000 0.000 0.500
O1 O 0.000 0.238 0.346
O2 O 0.000 0.275 0.000
```

Top 8 peaks for 10° ≤ 2θ ≤ 80°, low angle first:
27.35 deg, d = 3.261 Å, rel. 100, (1 1 0)
27.65 deg, d = 3.226 Å, rel. 97, (0 1 3)
31.56 deg, d = 2.835 Å, rel. 22, (0 2 0)
32.01 deg, d = 2.796 Å, rel. 42, (1 0 3)
45.56 deg, d = 1.991 Å, rel. 88, (2 0 0)
54.08 deg, d = 1.696 Å, rel. 31, (2 1 3)
54.60 deg, d = 1.681 Å, rel. 30, (1 1 6)
73.11 deg, d = 1.294 Å, rel. 19, (3 1 0)

---

The following is a theoretical PXRD pattern of Tb7Sm16Ho6. It was derived from a DFT-relaxed cell (GGA-PBE, Alexandria), using CuKα.

Atomic structure:
```
data_Tb7Sm16Ho6
_chemical_formula_sum 'Tb28 Sm64 Ho24'
_cell_length_a 15.886
_cell_length_b 15.886
_cell_length_c 15.886
_cell_angle_alpha 90.00
_cell_angle_beta 90.00
_cell_angle_gamma 90.00
_symmetry_space_group_name_H-M 'F m -3 m'
_symmetry_Int_Tables_number 225
_symmetry_space_group_name_Hall '-F 4 2 3'
loop_
_atom_site_label
_atom_site_type_symbol
_atom_site_fract_x
_atom_site_fract_y
_atom_site_fract_z
Tb1 Tb 0.000 0.000 0.000
Tb2 Tb 0.000 0.250 0.250
Sm1 Sm 0.125 0.125 0.125
Sm2 Sm 0.150 0.150 0.350
Ho1 Ho 0.000 0.000 0.267
```

Top 8 peaks for 10° ≤ 2θ ≤ 80°, low angle first:
27.51 deg, d = 3.243 Å, rel. 6, (4 2 2)
29.21 deg, d = 3.057 Å, rel. 10, (3 3 3)
31.87 deg, d = 2.808 Å, rel. 100, (4 4 0)
43.77 deg, d = 2.068 Å, rel. 6, (7 3 1)
45.69 deg, d = 1.986 Å, rel. 14, (8 0 0)
56.78 deg, d = 1.621 Å, rel. 27, (8 4 4)
66.60 deg, d = 1.404 Å, rel. 8, (8 8 0)
75.74 deg, d = 1.256 Å, rel. 8, (12 4 0)